The following is a computed powder XRD pattern of RbLi2VCl8. It was derived from a DFT-relaxed cell (GGA-PBE, Alexandria), using copper Kα.
No peak broadening, texture or thermal motion is included.

Crystal structure
Cell lengths 6.253, 6.295, 9.059 Å; angles 83.14, 82.07, 71.59 degrees
Sites, in units of the cell vectors:
Rb 0.000 0.000 0.000
Li 0.495 0.502 0.168
Li 0.505 0.498 0.832
V 0.000 0.000 0.500
Cl 0.188 0.737 0.677
Cl 0.197 0.225 0.532
Cl 0.277 0.837 0.315
Cl 0.322 0.333 0.032
Cl 0.678 0.667 0.968
Cl 0.723 0.163 0.685
Cl 0.803 0.775 0.468
Cl 0.812 0.263 0.323

Top 10 peaks for 2θ = 10–80°, in order of rising 2θ:
2theta, I_rel
14.88, 84
15.02, 83
17.65, 86
19.86, 73
26.26, 40
30.89, 62
31.28, 100
31.80, 86
33.10, 48
38.25, 40